1.
For Li3Cd3Ga, the PBE geometry in Alexandria gives the calculated powder X-ray diffraction pattern in this record (CuKα).
Neutral-atom scattering factors, no anomalous dispersion.

Most intense lines, 10 to 90 degrees two-theta, by angle:
d (Å), Rel. int.
5.422, 91.9
3.374, 51.3
2.354, 57.0
2.326, 83.0
2.295, 100.0
2.158, 67.0

Structural model:
```
data_Li3Cd3Ga
_cell_length_a 10.700
_cell_length_b 4.708
_cell_length_c 10.845
_cell_angle_alpha 90.00
_cell_angle_beta 90.00
_cell_angle_gamma 90.00
_space_group_name_H-M_alt 'P 1'
_space_group_IT_number 1
loop_
_space_group_symop_operation_xyz
'x,y,z'
loop_
_atom_site_label
_atom_site_type_symbol
_atom_site_fract_x
_atom_site_fract_y
_atom_site_fract_z
Li1 Li 0.004 0.250 0.179
Li2 Li 0.180 0.250 0.673
Li3 Li 0.227 0.250 0.327
Li4 Li 0.273 0.750 0.827
Li5 Li 0.320 0.750 0.173
Li6 Li 0.496 0.750 0.679
Li7 Li 0.504 0.250 0.321
Li8 Li 0.680 0.250 0.827
Li9 Li 0.727 0.250 0.173
Li10 Li 0.773 0.750 0.673
Li11 Li 0.820 0.750 0.327
Li12 Li 0.996 0.750 0.821
Cd1 Cd 0.039 0.750 0.579
Cd2 Cd 0.079 0.750 0.061
Cd3 Cd 0.204 0.250 0.966
Cd4 Cd 0.296 0.750 0.466
Cd5 Cd 0.421 0.250 0.561
Cd6 Cd 0.461 0.250 0.079
Cd7 Cd 0.539 0.750 0.921
Cd8 Cd 0.579 0.750 0.439
Cd9 Cd 0.704 0.250 0.534
Cd10 Cd 0.796 0.750 0.034
Cd11 Cd 0.921 0.250 0.939
Cd12 Cd 0.961 0.250 0.421
Ga1 Ga 0.084 0.750 0.315
Ga2 Ga 0.416 0.250 0.815
Ga3 Ga 0.584 0.750 0.185
Ga4 Ga 0.916 0.250 0.685
```



2.
For Li15Cd2Ga2, the PBE geometry in Alexandria gives the calculated powder X-ray diffraction pattern in this record (CuKα).
Neutral-atom scattering factors, no anomalous dispersion.

Most intense lines, 10 to 90 degrees two-theta, by angle:
d (Å), Rel. int.
5.469, 30.0
4.124, 100.0
3.071, 38.7
2.463, 30.3
2.381, 27.5
2.114, 28.1

Structural model:
```
data_Li15Cd2Ga2
_cell_length_a 7.403
_cell_length_b 7.403
_cell_length_c 7.403
_cell_angle_alpha 67.71
_cell_angle_beta 67.71
_cell_angle_gamma 67.71
_space_group_name_H-M_alt 'P 1'
_space_group_IT_number 1
loop_
_space_group_symop_operation_xyz
'x,y,z'
loop_
_atom_site_label
_atom_site_type_symbol
_atom_site_fract_x
_atom_site_fract_y
_atom_site_fract_z
Li1 Li 0.000 0.000 0.500
Li2 Li 0.000 0.294 0.706
Li3 Li 0.000 0.500 0.000
Li4 Li 0.000 0.706 0.294
Li5 Li 0.192 0.562 0.562
Li6 Li 0.294 0.000 0.706
Li7 Li 0.294 0.706 0.000
Li8 Li 0.438 0.438 0.808
Li9 Li 0.438 0.808 0.438
Li10 Li 0.500 0.000 0.000
Li11 Li 0.562 0.192 0.562
Li12 Li 0.562 0.562 0.192
Li13 Li 0.706 0.000 0.294
Li14 Li 0.706 0.294 0.000
Li15 Li 0.808 0.438 0.438
Cd1 Cd 0.283 0.283 0.283
Cd2 Cd 0.717 0.717 0.717
Ga1 Ga 0.090 0.090 0.090
Ga2 Ga 0.910 0.910 0.910
```



3.
For Li7Cd2Ga, the PBE geometry in Alexandria gives the calculated powder X-ray diffraction pattern in this record (CuKα).
Neutral-atom scattering factors, no anomalous dispersion.

Most intense lines, 10 to 90 degrees two-theta, by angle:
d (Å), Rel. int.
5.162, 35.1
3.679, 100.0
3.131, 32.0
2.591, 40.2
2.273, 36.1
2.159, 29.1

Structural model:
```
data_Li7Cd2Ga
_cell_length_a 4.546
_cell_length_b 4.546
_cell_length_c 10.324
_cell_angle_alpha 90.00
_cell_angle_beta 90.00
_cell_angle_gamma 120.00
_space_group_name_H-M_alt 'P 1'
_space_group_IT_number 1
loop_
_space_group_symop_operation_xyz
'x,y,z'
loop_
_atom_site_label
_atom_site_type_symbol
_atom_site_fract_x
_atom_site_fract_y
_atom_site_fract_z
Li1 Li 0.000 0.000 0.000
Li2 Li 0.000 0.000 0.232
Li3 Li 0.000 0.000 0.479
Li4 Li 0.333 0.667 0.038
Li5 Li 0.333 0.667 0.622
Li6 Li 0.667 0.333 0.424
Li7 Li 0.667 0.333 0.857
Cd1 Cd 0.000 0.000 0.740
Cd2 Cd 0.333 0.667 0.314
Ga1 Ga 0.667 0.333 0.147
```



4.
For MgCd5Ga, the PBE geometry in Alexandria gives the calculated powder X-ray diffraction pattern in this record (CuKα).
Neutral-atom scattering factors, no anomalous dispersion.

Most intense lines, 10 to 90 degrees two-theta, by angle:
d (Å), Rel. int.
2.589, 72.4
2.510, 65.0
2.444, 64.7
2.380, 68.8
2.336, 100.0
2.217, 65.5

Structural model:
```
data_MgCd5Ga
_cell_length_a 6.040
_cell_length_b 6.040
_cell_length_c 10.810
_cell_angle_alpha 103.66
_cell_angle_beta 103.66
_cell_angle_gamma 56.67
_space_group_name_H-M_alt 'P 1'
_space_group_IT_number 1
loop_
_space_group_symop_operation_xyz
'x,y,z'
loop_
_atom_site_label
_atom_site_type_symbol
_atom_site_fract_x
_atom_site_fract_y
_atom_site_fract_z
Mg1 Mg 0.224 0.776 0.750
Mg2 Mg 0.776 0.224 0.250
Cd1 Cd 0.127 0.175 0.531
Cd2 Cd 0.175 0.127 0.031
Cd3 Cd 0.224 0.301 0.813
Cd4 Cd 0.278 0.722 0.250
Cd5 Cd 0.301 0.224 0.313
Cd6 Cd 0.699 0.776 0.687
Cd7 Cd 0.722 0.278 0.750
Cd8 Cd 0.776 0.699 0.187
Cd9 Cd 0.825 0.873 0.969
Cd10 Cd 0.873 0.825 0.469
Ga1 Ga 0.500 0.500 0.000
Ga2 Ga 0.500 0.500 0.500
```